This entry pairs a crystal structure of Ba2Ni3O7 with its simulated PXRD pattern. Radiation: λ = 1.5418 Å (Cu Kα). Structure: a DFT-relaxed cell (PBE+U, the Materials Project).
Lines closer than 0.1° are merged.

Top 6 peaks for 2θ from 10° to 90°, by intensity:
d 2.632, 34.07°, rel. 100; d 1.853, 49.17°, rel. 98; d 3.223, 27.68°, rel. 91; d 2.821, 31.72°, rel. 90; d 2.834, 31.57°, rel. 74; d 3.242, 27.51°, rel. 72

Structural model:
```
data_Ba2Ni3O7
_symmetry_space_group_name_H-M 'P 1'
_symmetry_Int_Tables_number 1
_symmetry_space_group_name_Hall 'P 1'
_cell_length_a 3.7073
_cell_length_b 3.7364
_cell_length_c 13.0458
_cell_angle_alpha 90.00
_cell_angle_beta 90.00
_cell_angle_gamma 90.00
loop_
_atom_site_label
_atom_site_fract_x
_atom_site_fract_y
_atom_site_fract_z
Ba1 0.0000 0.0000 0.1972
Ba2 0.0000 0.0000 0.8028
Ni1 0.5000 0.5000 0.0000
Ni2 0.5000 0.5000 0.3827
Ni3 0.5000 0.5000 0.6173
O1 0.0000 0.5000 0.3588
O2 0.0000 0.5000 0.6412
O3 0.5000 0.0000 0.0000
O4 0.5000 0.0000 0.3573
O5 0.5000 0.0000 0.6427
O6 0.5000 0.5000 0.1384
O7 0.5000 0.5000 0.8616
```

=====

This entry pairs a crystal structure of Li2Ni2SbO6 with its simulated PXRD pattern. Radiation: λ = 1.5418 Å (Cu Kα). Structure: a DFT-relaxed cell (PBE+U, the Materials Project).
Lines closer than 0.1° are merged.

Top 6 peaks for 2θ from 10° to 90°, by intensity:
d 5.045, 17.58°, rel. 100; d 2.509, 35.80°, rel. 40; d 2.052, 44.14°, rel. 38; d 2.341, 38.46°, rel. 22; d 1.592, 57.94°, rel. 19; d 1.498, 61.93°, rel. 17

Structural model:
```
data_Li2Ni2SbO6
_symmetry_space_group_name_H-M 'P 1'
_symmetry_Int_Tables_number 1
_symmetry_space_group_name_Hall 'P 1'
_cell_length_a 5.1810
_cell_length_b 5.1810
_cell_length_c 10.0895
_cell_angle_alpha 90.01
_cell_angle_beta 90.01
_cell_angle_gamma 118.67
loop_
_atom_site_label
_atom_site_fract_x
_atom_site_fract_y
_atom_site_fract_z
Li1 0.1145 0.1145 0.2501
Li2 0.3855 0.3817 0.7499
Li3 0.6183 0.6145 0.2501
Li4 0.8855 0.8855 0.7499
Ni1 0.0901 0.9099 0.5000
Ni2 0.4199 0.5801 0.5000
Ni3 0.5823 0.4177 0.0000
Ni4 0.9123 0.0877 0.0000
Sb1 0.2438 0.7562 0.0000
Sb2 0.7584 0.2416 0.5000
O1 0.0696 0.2284 0.6141
O2 0.0952 0.5666 0.4015
O3 0.2310 0.0678 0.8858
O4 0.2810 0.4366 0.1065
O5 0.4334 0.9048 0.5985
O6 0.4393 0.2792 0.3934
O7 0.5634 0.7190 0.8935
O8 0.5692 0.0933 0.0984
O9 0.7208 0.5607 0.6066
O10 0.7716 0.9304 0.3859
O11 0.9067 0.4308 0.9016
O12 0.9322 0.7690 0.1142
```

=====

Repeat the first record exactly.
This entry pairs a crystal structure of Ba2Ni3O7 with its simulated PXRD pattern. Radiation: λ = 1.5418 Å (Cu Kα). Structure: a DFT-relaxed cell (PBE+U, the Materials Project).
Lines closer than 0.1° are merged.

Top 6 peaks for 2θ from 10° to 90°, by intensity:
d 2.632, 34.07°, rel. 100; d 1.853, 49.17°, rel. 98; d 3.223, 27.68°, rel. 91; d 2.821, 31.72°, rel. 90; d 2.834, 31.57°, rel. 74; d 3.242, 27.51°, rel. 72

Structural model:
```
data_Ba2Ni3O7
_symmetry_space_group_name_H-M 'P 1'
_symmetry_Int_Tables_number 1
_symmetry_space_group_name_Hall 'P 1'
_cell_length_a 3.7073
_cell_length_b 3.7364
_cell_length_c 13.0458
_cell_angle_alpha 90.00
_cell_angle_beta 90.00
_cell_angle_gamma 90.00
loop_
_atom_site_label
_atom_site_fract_x
_atom_site_fract_y
_atom_site_fract_z
Ba1 0.0000 0.0000 0.1972
Ba2 0.0000 0.0000 0.8028
Ni1 0.5000 0.5000 0.0000
Ni2 0.5000 0.5000 0.3827
Ni3 0.5000 0.5000 0.6173
O1 0.0000 0.5000 0.3588
O2 0.0000 0.5000 0.6412
O3 0.5000 0.0000 0.0000
O4 0.5000 0.0000 0.3573
O5 0.5000 0.0000 0.6427
O6 0.5000 0.5000 0.1384
O7 0.5000 0.5000 0.8616
```